Entry 1:
Structure and computed powder X-ray diffraction pattern of YCr2Ru (a cell relaxed with PBE; Cu Kα X-rays).

Principal peaks in the range 2θ from 10° to 80°, low angle first:
- 18.66 deg, I = 13
- 33.99 deg, I = 6
- 37.84 deg, I = 27
- 39.06 deg, I = 100
- 41.52 deg, I = 21
- 55.41 deg, I = 9
- 57.42 deg, I = 15
- 69.12 deg, I = 25
- 71.56 deg, I = 8
- 74.10 deg, I = 14

Structural model:
Cell: 3.316 4.350 4.755 Å, 90.00 90.00 90.00°
Atoms (fractional coordinates):
Y 0.000 0.000 0.000
Cr 0.000 0.500 0.500
Cr 0.500 0.000 0.500
Ru 0.500 0.500 0.000

Entry 2:
Structure and computed powder X-ray diffraction pattern of Zn2CrRu (a cell relaxed with PBE; Cu Kα X-rays).

Principal peaks in the range 2θ from 10° to 80°, low angle first:
- 10.09 deg, I = 13
- 20.26 deg, I = 5
- 39.05 deg, I = 3
- 40.67 deg, I = 30
- 41.19 deg, I = 27
- 43.10 deg, I = 100
- 59.26 deg, I = 18
- 65.81 deg, I = 7
- 75.68 deg, I = 17
- 76.39 deg, I = 15

Structural model:
Cell: 2.838 4.437 8.767 Å, 90.00 90.00 90.00°
Atoms (fractional coordinates):
Zn 0.000 0.000 0.000
Zn 0.000 0.500 0.263
Zn 0.500 0.000 0.263
Zn 0.500 0.500 0.000
Cr 0.000 0.500 0.752
Cr 0.500 0.000 0.752
Ru 0.000 0.000 0.522
Ru 0.500 0.500 0.522

Entry 3:
Structure and computed powder X-ray diffraction pattern of CrS2 (a cell relaxed with PBE; Cu Kα X-rays).

Principal peaks in the range 2θ from 10° to 80°, low angle first:
- 12.98 deg, I = 100
- 34.30 deg, I = 18
- 35.16 deg, I = 12
- 38.42 deg, I = 16
- 40.72 deg, I = 23
- 46.39 deg, I = 23
- 49.68 deg, I = 16
- 60.87 deg, I = 13
- 62.53 deg, I = 7
- 79.83 deg, I = 4

Structural model:
Cell: 3.044 3.044 20.456 Å, 90.00 90.00 120.00°
Atoms (fractional coordinates):
Cr 0.000 0.000 0.000
Cr 0.333 0.667 0.667
Cr 0.667 0.333 0.333
S 0.000 0.000 0.595
S 0.000 0.000 0.738
S 0.333 0.667 0.262
S 0.333 0.667 0.405
S 0.667 0.333 0.072
S 0.667 0.333 0.928

Entry 4:
Structure and computed powder X-ray diffraction pattern of Cr5S6 (a cell relaxed with PBE; Cu Kα X-rays).

Principal peaks in the range 2θ from 10° to 80°, low angle first:
- 15.74 deg, I = 7
- 18.77 deg, I = 16
- 29.32 deg, I = 9
- 29.70 deg, I = 35
- 33.78 deg, I = 54
- 44.05 deg, I = 100
- 52.71 deg, I = 45
- 57.91 deg, I = 10
- 64.08 deg, I = 7
- 71.06 deg, I = 21

Structural model:
Cell: 6.016 6.016 11.263 Å, 90.00 90.00 120.00°
Atoms (fractional coordinates):
Cr 0.000 0.000 0.000
Cr 0.000 0.000 0.250
Cr 0.000 0.000 0.500
Cr 0.000 0.000 0.750
Cr 0.333 0.667 0.010
Cr 0.333 0.667 0.490
Cr 0.333 0.667 0.750
Cr 0.667 0.333 0.250
Cr 0.667 0.333 0.510
Cr 0.667 0.333 0.990
S 0.011 0.338 0.878
S 0.011 0.674 0.622
S 0.326 0.338 0.622
S 0.326 0.989 0.878
S 0.338 0.011 0.378
S 0.338 0.326 0.122
S 0.662 0.674 0.878
S 0.662 0.989 0.622
S 0.674 0.011 0.122
S 0.674 0.662 0.378
S 0.989 0.326 0.378
S 0.989 0.662 0.122

Entry 5:
Structure and computed powder X-ray diffraction pattern of CrS5 (a cell relaxed with PBE; Cu Kα X-rays).

Principal peaks in the range 2θ from 10° to 80°, low angle first:
- 10.10 deg, I = 100
- 19.33 deg, I = 29
- 25.20 deg, I = 15
- 26.28 deg, I = 14
- 31.23 deg, I = 18
- 34.72 deg, I = 16
- 40.41 deg, I = 9
- 42.41 deg, I = 9
- 42.59 deg, I = 10
- 49.93 deg, I = 9

Structural model:
Cell: 4.593 6.954 8.807 Å, 96.04 91.15 90.79°
Atoms (fractional coordinates):
Cr 0.067 0.252 0.487
Cr 0.933 0.748 0.513
S 0.049 0.517 0.687
S 0.079 0.037 0.682
S 0.136 0.824 0.125
S 0.311 0.582 0.193
S 0.466 0.753 0.545
S 0.534 0.247 0.455
S 0.689 0.418 0.807
S 0.864 0.176 0.875
S 0.921 0.963 0.318
S 0.951 0.483 0.313

Entry 6:
Structure and computed powder X-ray diffraction pattern of Cr4S (a cell relaxed with PBE; Cu Kα X-rays).

Principal peaks in the range 2θ from 10° to 80°, low angle first:
- 21.03 deg, I = 12
- 29.91 deg, I = 9
- 36.85 deg, I = 100
- 42.81 deg, I = 87
- 48.17 deg, I = 4
- 53.10 deg, I = 3
- 62.15 deg, I = 51
- 66.39 deg, I = 2
- 74.50 deg, I = 30
- 78.42 deg, I = 16

Structural model:
Cell: 4.224 4.224 4.224 Å, 90.00 90.00 90.00°
Atoms (fractional coordinates):
Cr 0.000 0.000 0.000
Cr 0.000 0.500 0.500
Cr 0.500 0.000 0.500
Cr 0.500 0.500 0.000
S 0.500 0.500 0.500

Entry 7:
Structure and computed powder X-ray diffraction pattern of CrSb3S8 (a cell relaxed with PBE; Cu Kα X-rays).

Principal peaks in the range 2θ from 10° to 80°, low angle first:
- 13.28 deg, I = 100
- 28.49 deg, I = 33
- 33.45 deg, I = 60
- 36.14 deg, I = 12
- 42.58 deg, I = 20
- 46.23 deg, I = 20
- 49.79 deg, I = 12
- 51.76 deg, I = 17
- 58.39 deg, I = 7
- 61.31 deg, I = 9

Structural model:
Cell: 7.325 7.325 7.904 Å, 117.71 117.71 60.05°
Atoms (fractional coordinates):
Cr 0.000 0.000 0.000
Sb 0.000 0.500 0.000
Sb 0.500 0.000 0.000
Sb 0.500 0.500 0.000
S 0.221 0.221 0.207
S 0.221 0.765 0.206
S 0.235 0.779 0.794
S 0.254 0.254 0.764
S 0.746 0.746 0.236
S 0.765 0.221 0.206
S 0.779 0.235 0.794
S 0.779 0.779 0.793

Entry 8:
Structure and computed powder X-ray diffraction pattern of Tl2CrSbS4 (a cell relaxed with PBE; Cu Kα X-rays).

Principal peaks in the range 2θ from 10° to 80°, low angle first:
- 16.64 deg, I = 17
- 23.36 deg, I = 67
- 28.82 deg, I = 27
- 29.12 deg, I = 100
- 33.28 deg, I = 39
- 44.80 deg, I = 68
- 53.84 deg, I = 21
- 54.81 deg, I = 20
- 67.57 deg, I = 18
- 77.43 deg, I = 14

Structural model:
Cell: 7.615 7.615 7.461 Å, 90.00 90.00 90.00°
Atoms (fractional coordinates):
Tl 0.000 0.000 0.000
Tl 0.000 0.500 0.250
Tl 0.500 0.000 0.750
Tl 0.500 0.500 0.500
Cr 0.000 0.500 0.750
Cr 0.500 0.000 0.250
Sb 0.000 0.000 0.500
Sb 0.500 0.500 0.000
S 0.149 0.311 0.593
S 0.189 0.649 0.907
S 0.311 0.851 0.407
S 0.351 0.189 0.093
S 0.649 0.811 0.093
S 0.689 0.149 0.407
S 0.811 0.351 0.907
S 0.851 0.689 0.593

Entry 9:
Structure and computed powder X-ray diffraction pattern of Sc2CrS (a cell relaxed with PBE; Cu Kα X-rays).

Principal peaks in the range 2θ from 10° to 80°, low angle first:
- 31.02 deg, I = 29
- 34.10 deg, I = 96
- 35.44 deg, I = 100
- 39.55 deg, I = 13
- 48.99 deg, I = 26
- 50.00 deg, I = 57
- 61.91 deg, I = 12
- 64.71 deg, I = 10
- 69.82 deg, I = 22
- 72.60 deg, I = 13

Structural model:
Cell: 7.437 7.437 5.781 Å, 90.00 90.00 90.00°
Atoms (fractional coordinates):
Sc 0.201 0.750 0.125
Sc 0.250 0.201 0.875
Sc 0.250 0.299 0.375
Sc 0.299 0.750 0.625
Sc 0.701 0.250 0.625
Sc 0.750 0.701 0.375
Sc 0.750 0.799 0.875
Sc 0.799 0.250 0.125
Cr 0.000 0.000 0.500
Cr 0.000 0.500 0.750
Cr 0.500 0.000 0.250
Cr 0.500 0.500 0.000
S 0.000 0.000 0.000
S 0.000 0.500 0.250
S 0.500 0.000 0.750
S 0.500 0.500 0.500

Entry 10:
Structure and computed powder X-ray diffraction pattern of Cr4Se3S3 (a cell relaxed with PBE; Cu Kα X-rays).

Principal peaks in the range 2θ from 10° to 80°, low angle first:
- 15.96 deg, I = 25
- 17.46 deg, I = 8
- 19.77 deg, I = 6
- 29.01 deg, I = 11
- 33.28 deg, I = 100
- 43.92 deg, I = 66
- 51.42 deg, I = 39
- 58.16 deg, I = 17
- 62.64 deg, I = 15
- 69.88 deg, I = 15

Structural model:
Cell: 6.593 6.593 6.593 Å, 55.66 55.66 55.66°
Atoms (fractional coordinates):
Cr 0.000 0.000 0.000
Cr 0.156 0.156 0.156
Cr 0.342 0.342 0.342
Cr 0.671 0.671 0.671
Se 0.255 0.575 0.918
Se 0.575 0.918 0.255
Se 0.918 0.255 0.575
S 0.072 0.761 0.401
S 0.401 0.072 0.761
S 0.761 0.401 0.072

Entry 11:
Structure and computed powder X-ray diffraction pattern of V2CrSe4S2 (a cell relaxed with PBE; Cu Kα X-rays).

Principal peaks in the range 2θ from 10° to 80°, low angle first:
- 12.68 deg, I = 100
- 25.52 deg, I = 19
- 31.92 deg, I = 52
- 32.22 deg, I = 27
- 36.35 deg, I = 25
- 38.65 deg, I = 75
- 41.31 deg, I = 14
- 44.28 deg, I = 41
- 47.52 deg, I = 45
- 56.89 deg, I = 37

Structural model:
Cell: 3.237 3.237 20.945 Å, 90.00 90.00 120.00°
Atoms (fractional coordinates):
V 0.000 0.000 0.000
V 0.333 0.667 0.333
Cr 0.333 0.667 0.679
Se 0.000 0.000 0.255
Se 0.000 0.000 0.411
Se 0.333 0.667 0.078
Se 0.333 0.667 0.922
S 0.000 0.000 0.611
S 0.000 0.000 0.747

Entry 12:
Structure and computed powder X-ray diffraction pattern of SrCr2SiS6 (a cell relaxed with PBE; Cu Kα X-rays).

Principal peaks in the range 2θ from 10° to 80°, low angle first:
- 19.40 deg, I = 43
- 26.78 deg, I = 99
- 28.33 deg, I = 59
- 32.61 deg, I = 100
- 33.27 deg, I = 35
- 39.38 deg, I = 76
- 43.22 deg, I = 73
- 49.22 deg, I = 51
- 50.16 deg, I = 64
- 57.36 deg, I = 40

Structural model:
Cell: 6.680 6.680 6.680 Å, 56.28 56.28 56.28°
Atoms (fractional coordinates):
Sr 0.000 0.000 0.000
Cr 0.269 0.269 0.269
Cr 0.783 0.783 0.783
Si 0.465 0.465 0.465
S 0.068 0.604 0.459
S 0.193 0.538 0.867
S 0.459 0.068 0.604
S 0.538 0.867 0.193
S 0.604 0.459 0.068
S 0.867 0.193 0.538

Entry 13:
Structure and computed powder X-ray diffraction pattern of Sm4CrS7 (a cell relaxed with PBE; Cu Kα X-rays).

Principal peaks in the range 2θ from 10° to 80°, low angle first:
- 21.01 deg, I = 14
- 24.83 deg, I = 100
- 26.34 deg, I = 19
- 33.93 deg, I = 36
- 34.46 deg, I = 19
- 36.81 deg, I = 38
- 38.75 deg, I = 12
- 44.91 deg, I = 15
- 45.58 deg, I = 29
- 45.83 deg, I = 17

Structural model:
Cell: 9.767 9.767 6.766 Å, 90.00 90.00 120.00°
Atoms (fractional coordinates):
Sm 0.159 0.376 0.000
Sm 0.218 0.841 0.000
Sm 0.333 0.667 0.450
Sm 0.376 0.218 0.500
Sm 0.624 0.782 0.000
Sm 0.667 0.333 0.950
Sm 0.782 0.159 0.500
Sm 0.841 0.624 0.500
Cr 0.000 0.000 0.333
Cr 0.000 0.000 0.833
S 0.072 0.559 0.239
S 0.103 0.233 0.598
S 0.130 0.897 0.598
S 0.233 0.130 0.098
S 0.333 0.667 0.837
S 0.441 0.512 0.239
S 0.488 0.928 0.239
S 0.512 0.072 0.739
S 0.559 0.488 0.739
S 0.667 0.333 0.337
S 0.767 0.870 0.598
S 0.870 0.103 0.098
S 0.897 0.767 0.098
S 0.928 0.441 0.739